(1)
Computed PXRD pattern of CeAl20Cr2 for Cu Kα, from DFT lattice parameters and positions (GGA-PBE).
Peak positions follow from Bragg's law for the DFT cell and can differ from measured ones.

Structural model:
Cell lengths 14.437, 14.437, 14.437 Å; angles 90.00, 90.00, 90.00 degrees
Space group Fd-3m (No. 227, origin choice 2)
Unique sites:
Ce 0.125 0.125 0.125 [8 per cell]
Al 0.000 0.000 0.000 [16 per cell]
Al 0.011 0.375 0.875 [48 per cell]
Al 0.058 0.058 0.326 [96 per cell]
Cr 0.000 0.000 0.500 [16 per cell]

The 10 most intense peaks (2θ from 10° to 80°), low angle first:
d_spacing, Rel. int., h k l
5.104, 54, 2 2 0
4.353, 92, 3 1 1
2.552, 50, 4 4 0
2.440, 100, 5 3 1
2.283, 69, 6 2 0
2.202, 100, 5 3 3
2.177, 76, 6 2 2
1.701, 46, 6 6 0
1.416, 27, 10 2 0
1.276, 45, 8 8 0

(2)
Computed PXRD pattern of Rb2NpZn2O6 for Cu Kα, from DFT lattice parameters and positions (GGA-PBE).
Peak positions follow from Bragg's law for the DFT cell and can differ from measured ones.

Structural model:
Cell lengths 6.1276, 6.1276, 18.0711 Å; angles 90.00, 90.00, 120.00 degrees
Space group R-3m (No. 166, hexagonal axes)
Unique sites:
Rb 0.0000 0.0000 0.2106 [6 per cell]
Np 0.0000 0.0000 0.0000 [3 per cell]
Zn 0.0000 0.0000 0.4025 [6 per cell]
O 0.0212 0.5106 0.7368 [18 per cell]

The 10 most intense peaks (2θ from 10° to 80°), low angle first:
d_spacing, Rel. int., h k l
6.024, 18, 0 0 3
5.092, 34, 1 0 1
4.576, 25, 0 1 2
3.064, 96, 1 1 0
2.987, 100, 0 1 5
2.139, 33, 2 0 5
1.769, 20, 3 0 0
1.754, 45, 1 2 5
1.711, 18, 1 0 10
1.363, 18, 3 1 5

(3)
Computed PXRD pattern of K4Pa3AgS8 for Cu Kα, from DFT lattice parameters and positions (GGA-PBE).
Peak positions follow from Bragg's law for the DFT cell and can differ from measured ones.

Structural model:
Cell lengths 8.1085, 8.1085, 22.2631 Å; angles 90.00, 90.00, 120.00 degrees
Space group R-3m (No. 166, hexagonal axes)
Unique sites:
K 0.0000 0.0000 0.0000 [3 per cell]
K 0.0000 0.5000 0.0000 [9 per cell]
Pa 0.0000 0.5000 0.5000 [9 per cell]
Ag 0.0000 0.0000 0.5000 [3 per cell]
S 0.0000 0.0000 0.2344 [6 per cell]
S 0.0138 0.5069 0.7650 [18 per cell]

The 10 most intense peaks (2θ from 10° to 80°), low angle first:
d_spacing, Rel. int., h k l
7.421, 94, 0 0 3
3.711, 21, 0 0 6
3.468, 36, 0 2 1
3.348, 44, 2 0 2
2.970, 100, 0 2 4
2.357, 23, 0 2 7
2.181, 37, 2 0 8
2.027, 33, 2 2 0
1.955, 21, 2 2 3
1.674, 17, 4 0 4